# 1
The following is a computed powder diffraction line list of Nd3MgHg4. It was derived from DFT lattice parameters and positions (PBE), using Cu Kα (λ = 1.5418 Å).
Intensities are scaled so that the largest is 100.

Crystal structure
Lattice parameters (Å, degrees): 5.2552 5.2552 26.8553 90.00 90.00 120.00
Space group R-3m (No. 166, hexagonal axes)
Unique sites:
Nd1 0.0000 0.0000 0.0000
Nd2 0.0000 0.0000 0.2429
Mg1 0.0000 0.0000 0.5000
Hg1 0.0000 0.0000 0.1252
Hg2 0.0000 0.0000 0.3754

Most intense lines, 15° ≤ 2θ ≤ 90°, low angle first:
- hkl 1 0 4, d = 3.767 Å, 23.62 deg, rel. 17
- hkl 0 1 8, d = 2.702 Å, 33.16 deg, rel. 100
- hkl 1 1 0, d = 2.628 Å, 34.12 deg, rel. 96
- hkl 2 0 8, d = 1.883 Å, 48.32 deg, rel. 37
- hkl 1 0 16, d = 1.575 Å, 58.62 deg, rel. 18
- hkl 1 2 8, d = 1.531 Å, 60.48 deg, rel. 37
- hkl 3 0 0, d = 1.517 Å, 61.08 deg, rel. 18
- hkl 0 2 16, d = 1.351 Å, 69.60 deg, rel. 12
- hkl 2 1 16, d = 1.201 Å, 79.84 deg, rel. 16
- hkl 3 1 8, d = 1.181 Å, 81.46 deg, rel. 16

# 2
The following is a computed powder diffraction line list of NdMgHg4. It was derived from DFT lattice parameters and positions (PBE), using Cu Kα (λ = 1.5418 Å).
Intensities are scaled so that the largest is 100.

Crystal structure
Lattice parameters (Å, degrees): 4.516 4.516 8.416 90.00 90.00 90.00
Space group P4/mmm (No. 123)
Unique sites:
Nd1 0.000 0.000 0.000
Mg1 0.500 0.500 0.500
Hg1 0.000 0.500 0.274

Most intense lines, 15° ≤ 2θ ≤ 90°, low angle first:
- hkl 0 0 2, d = 4.208 Å, 21.11 deg, rel. 35
- hkl 1 1 0, d = 3.193 Å, 27.94 deg, rel. 41
- hkl 1 1 2, d = 2.544 Å, 35.29 deg, rel. 100
- hkl 2 0 0, d = 2.258 Å, 39.93 deg, rel. 39
- hkl 0 0 4, d = 2.105 Å, 42.97 deg, rel. 15
- hkl 2 0 2, d = 1.989 Å, 45.60 deg, rel. 20
- hkl 1 1 4, d = 1.758 Å, 52.03 deg, rel. 18
- hkl 2 2 0, d = 1.596 Å, 57.75 deg, rel. 13
- hkl 2 0 4, d = 1.539 Å, 60.11 deg, rel. 17
- hkl 3 1 2, d = 1.352 Å, 69.52 deg, rel. 28

# 3
The following is a computed powder diffraction line list of NdMg5Hg2. It was derived from DFT lattice parameters and positions (PBE), using Cu Kα (λ = 1.5418 Å).
Intensities are scaled so that the largest is 100.

Crystal structure
Lattice parameters (Å, degrees): 3.921 8.745 11.231 90.00 90.00 90.00
Space group Immm (No. 71)
Unique sites:
Nd1 0.000 0.000 0.000
Mg1 0.000 0.199 0.358
Mg2 0.000 0.500 0.000
Hg1 0.000 0.500 0.264

Most intense lines, 15° ≤ 2θ ≤ 90°, low angle first:
- hkl 0 0 2, d = 5.615 Å, 15.78 deg, rel. 25
- hkl 0 2 0, d = 4.373 Å, 20.31 deg, rel. 57
- hkl 1 1 0, d = 3.578 Å, 24.88 deg, rel. 18
- hkl 1 1 2, d = 3.018 Å, 29.60 deg, rel. 100
- hkl 0 3 1, d = 2.824 Å, 31.68 deg, rel. 19
- hkl 0 0 4, d = 2.808 Å, 31.87 deg, rel. 17
- hkl 1 0 3, d = 2.708 Å, 33.08 deg, rel. 20
- hkl 0 2 4, d = 2.363 Å, 38.09 deg, rel. 39
- hkl 1 3 2, d = 2.160 Å, 41.83 deg, rel. 44
- hkl 2 2 4, d = 1.509 Å, 61.46 deg, rel. 19

# 4
The following is a computed powder diffraction line list of PmNdMgHg. It was derived from DFT lattice parameters and positions (PBE), using Cu Kα (λ = 1.5418 Å).
Intensities are scaled so that the largest is 100.

Crystal structure
Lattice parameters (Å, degrees): 3.864 3.864 7.614 90.00 90.00 90.00
Space group P4mm (No. 99)
Unique sites:
Pm1 0.000 0.000 0.000
Nd1 0.000 0.000 0.497
Mg1 0.500 0.500 0.750
Hg1 0.500 0.500 0.244

Most intense lines, 15° ≤ 2θ ≤ 90°, low angle first:
- hkl 1 0 1, d = 3.446 Å, 25.86 deg, rel. 20
- hkl 1 1 0, d = 2.732 Å, 32.78 deg, rel. 51
- hkl 1 0 2, d = 2.712 Å, 33.03 deg, rel. 100
- hkl 1 1 1, d = 2.572 Å, 34.89 deg, rel. 10
- hkl 2 0 0, d = 1.932 Å, 47.04 deg, rel. 19
- hkl 0 0 4, d = 1.904 Å, 47.78 deg, rel. 9
- hkl 2 1 2, d = 1.573 Å, 58.67 deg, rel. 39
- hkl 1 1 4, d = 1.562 Å, 59.15 deg, rel. 19
- hkl 2 0 4, d = 1.356 Å, 69.30 deg, rel. 12
- hkl 1 0 6, d = 1.206 Å, 79.48 deg, rel. 10

# 5
The following is a computed powder diffraction line list of TbNdMgHg. It was derived from DFT lattice parameters and positions (PBE), using Cu Kα (λ = 1.5418 Å).
Intensities are scaled so that the largest is 100.

Crystal structure
Lattice parameters (Å, degrees): 3.813 3.813 7.596 90.00 90.00 90.00
Space group P4mm (No. 99)
Unique sites:
Tb1 0.000 0.000 0.000
Nd1 0.000 0.000 0.505
Mg1 0.500 0.500 0.244
Hg1 0.500 0.500 0.771

Most intense lines, 15° ≤ 2θ ≤ 90°, low angle first:
- hkl 1 0 1, d = 3.408 Å, 26.15 deg, rel. 13
- hkl 1 1 0, d = 2.693 Å, 33.27 deg, rel. 100
- hkl 1 1 1, d = 2.541 Å, 35.32 deg, rel. 7
- hkl 2 0 0, d = 1.907 Å, 47.70 deg, rel. 12
- hkl 0 0 4, d = 1.899 Å, 47.90 deg, rel. 6
- hkl 2 0 1, d = 1.848 Å, 49.32 deg, rel. 5
- hkl 2 1 2, d = 1.556 Å, 59.41 deg, rel. 25
- hkl 1 1 4, d = 1.553 Å, 59.54 deg, rel. 12
- hkl 2 0 4, d = 1.345 Å, 69.92 deg, rel. 7
- hkl 3 1 0, d = 1.206 Å, 79.50 deg, rel. 11

# 6
The following is a computed powder diffraction line list of Mg8Ni2Hg. It was derived from DFT lattice parameters and positions (PBE), using Cu Kα (λ = 1.5418 Å).
Intensities are scaled so that the largest is 100.

Crystal structure
Lattice parameters (Å, degrees): 4.357 6.795 8.045 111.22 105.54 90.40
Space group P-1 (No. 2)
Unique sites:
Mg1 0.032 0.247 0.066
Mg2 0.189 0.786 0.378
Mg3 0.322 0.560 0.643
Mg4 0.393 0.029 0.787
Ni1 0.189 0.179 0.377
Hg1 0.500 0.500 0.000

Most intense lines, 15° ≤ 2θ ≤ 90°, low angle first:
- hkl 0 1 1, d = 4.036 Å, 22.03 deg, rel. 88
- hkl 0 1 -2, d = 3.794 Å, 23.45 deg, rel. 78
- hkl 1 -1 0, d = 3.677 Å, 24.20 deg, rel. 65
- hkl 1 1 -1, d = 3.654 Å, 24.36 deg, rel. 64
- hkl 1 0 -2, d = 3.222 Å, 27.69 deg, rel. 93
- hkl 1 -1 2, d = 2.524 Å, 35.57 deg, rel. 49
- hkl 1 1 -3, d = 2.516 Å, 35.69 deg, rel. 49
- hkl -1 2 1, d = 2.394 Å, 37.57 deg, rel. 100
- hkl 1 2 0, d = 2.383 Å, 37.76 deg, rel. 70
- hkl 2 0 -1, d = 2.178 Å, 41.45 deg, rel. 63

# 7
The following is a computed powder diffraction line list of MgNiHg3. It was derived from DFT lattice parameters and positions (PBE), using Cu Kα (λ = 1.5418 Å).
Intensities are scaled so that the largest is 100.

Crystal structure
Lattice parameters (Å, degrees): 5.017 5.017 5.017 90.00 90.00 90.00
Space group Pm-3m (No. 221)
Unique sites:
Mg1 0.000 0.000 0.000
Ni1 0.500 0.500 0.500
Hg1 0.000 0.500 0.500

Most intense lines, 15° ≤ 2θ ≤ 90°, low angle first:
- hkl 1 0 0, d = 5.017 Å, 17.68 deg, rel. 52
- hkl 1 1 1, d = 2.897 Å, 30.87 deg, rel. 100
- hkl 2 0 0, d = 2.509 Å, 35.79 deg, rel. 78
- hkl 2 1 0, d = 2.244 Å, 40.19 deg, rel. 27
- hkl 2 2 0, d = 1.774 Å, 51.52 deg, rel. 55
- hkl 3 0 0, d = 1.672 Å, 54.90 deg, rel. 14
- hkl 3 1 1, d = 1.513 Å, 61.27 deg, rel. 45
- hkl 2 2 2, d = 1.448 Å, 64.31 deg, rel. 19
- hkl 3 3 1, d = 1.151 Å, 84.09 deg, rel. 19
- hkl 4 2 0, d = 1.122 Å, 86.81 deg, rel. 26

# 8
The following is a computed powder diffraction line list of MgNiSn2Hg. It was derived from DFT lattice parameters and positions (PBE), using Cu Kα (λ = 1.5418 Å).
Intensities are scaled so that the largest is 100.

Crystal structure
Lattice parameters (Å, degrees): 4.935 4.935 4.983 90.00 90.00 90.00
Space group P4/mmm (No. 123)
Unique sites:
Mg1 0.000 0.000 0.000
Ni1 0.000 0.000 0.500
Sn1 0.000 0.500 0.500
Hg1 0.500 0.500 0.000

Most intense lines, 15° ≤ 2θ ≤ 90°, low angle first:
- hkl 1 0 1, d = 3.506 Å, 25.40 deg, rel. 60
- hkl 1 1 1, d = 2.858 Å, 31.29 deg, rel. 100
- hkl 0 0 2, d = 2.491 Å, 36.05 deg, rel. 30
- hkl 2 0 0, d = 2.468 Å, 36.41 deg, rel. 59
- hkl 2 1 1, d = 2.018 Å, 44.92 deg, rel. 26
- hkl 2 0 2, d = 1.753 Å, 52.17 deg, rel. 42
- hkl 2 2 0, d = 1.745 Å, 52.44 deg, rel. 21
- hkl 1 1 3, d = 1.500 Å, 61.87 deg, rel. 15
- hkl 3 1 1, d = 1.489 Å, 62.35 deg, rel. 30
- hkl 2 2 2, d = 1.429 Å, 65.29 deg, rel. 22

# 9
The following is a computed powder diffraction line list of MgHgO. It was derived from DFT lattice parameters and positions (PBE), using Cu Kα (λ = 1.5418 Å).
Intensities are scaled so that the largest is 100.

Crystal structure
Lattice parameters (Å, degrees): 2.846 5.734 7.533 67.77 80.57 90.00
Space group P-1 (No. 2)
Unique sites:
Mg1 0.000 0.248 0.000
Hg1 0.308 0.275 0.449
O1 0.500 0.000 0.000
O2 0.500 0.500 0.000

Most intense lines, 15° ≤ 2θ ≤ 90°, low angle first:
- hkl 0 1 2, d = 3.576 Å, 24.90 deg, rel. 44
- hkl 0 0 2, d = 3.431 Å, 25.97 deg, rel. 100
- hkl 0 2 1, d = 2.867 Å, 31.20 deg, rel. 55
- hkl 0 2 2, d = 2.645 Å, 33.88 deg, rel. 96
- hkl 1 1 1, d = 2.548 Å, 35.22 deg, rel. 84
- hkl 0 1 3, d = 2.476 Å, 36.28 deg, rel. 41
- hkl 1 1 0, d = 2.408 Å, 37.34 deg, rel. 56
- hkl 1 1 2, d = 2.370 Å, 37.97 deg, rel. 71
- hkl 1 1 3, d = 2.022 Å, 44.82 deg, rel. 38
- hkl 0 1 4, d = 1.855 Å, 49.10 deg, rel. 28